The following is a calculated powder XRD pattern of PrTlRh4. It was derived from a structure optimized by DFT (GGA-PBE), using CuKα.
No peak broadening, texture or thermal motion is included.

Structure:
```
data_PrTlRh4
_chemical_formula_sum 'Pr4 Tl4 Rh16'
_space_group_name_H-M_alt 'F -4 3 m'
_space_group_IT_number 216
_space_group_name_Hall 'F -4 2 3'
_cell_length_a 7.6001
_cell_length_b 7.6001
_cell_length_c 7.6001
_cell_angle_alpha 90.00
_cell_angle_beta 90.00
_cell_angle_gamma 90.00
loop_
_atom_site_label
_atom_site_type_symbol
_atom_site_fract_x
_atom_site_fract_y
_atom_site_fract_z
Pr1 Pr 0.0000 0.0000 0.0000
Tl1 Tl 0.2500 0.2500 0.7500
Rh1 Rh 0.1243 0.1243 0.3757
```

Peak list (6 most intense, 2θ = 5–70°, by angle)
2θ/deg	Rel. int.
20.24	2
33.35	44
39.32	100
41.14	26
59.59	17
63.62	32